(1)
# Cs3Mo2Cl9
Theoretical powder X-ray diffraction pattern, Cu Kα X-rays. Input: a crystal structure in Alexandria, relaxed with PBE.
Neutral-atom scattering factors, no anomalous dispersion.

Lattice parameters (Å, degrees): 7.5449 7.5449 18.3361 90.00 90.00 120.00
Space group P6_3/mmc (No. 194)
Inequivalent atoms, fractional coordinates:
Cs 0.0000 0.0000 0.2500
Cs 0.3333 0.6667 0.0688
Mo 0.3333 0.6667 0.6739
Cl 0.0169 0.5084 0.7500
Cl 0.1816 0.3632 0.5982

Peak list (10 most intense, 2θ = 10–90°, by intensity)
2theta, I_rel, hkl
23.58, 100.0, 1 1 0
31.04, 74.0, 2 0 3
27.90, 50.9, 1 0 5
33.69, 47.4, 2 0 4
29.01, 46.8, 2 0 2
48.25, 45.7, 2 2 0
19.89, 37.4, 1 0 3
14.39, 36.5, 1 0 1
44.21, 34.6, 2 1 5
36.85, 27.7, 2 0 5

---

(2)
# CsZn2MoCl8
Theoretical powder X-ray diffraction pattern, Cu Kα X-rays. Input: a crystal structure in Alexandria, relaxed with PBE.
Neutral-atom scattering factors, no anomalous dispersion.

Lattice parameters (Å, degrees): 6.3129 6.3129 31.5618 90.00 90.00 120.00
Space group R-3 (No. 148, hexagonal axes)
Inequivalent atoms, fractional coordinates:
Cs 0.0000 0.0000 0.0000
Zn 0.0000 0.0000 0.2352
Mo 0.0000 0.0000 0.5000
Cl 0.0000 0.0000 0.3058
Cl 0.0115 0.3566 0.2125

Peak list (10 most intense, 2θ = 10–90°, by intensity)
2theta, I_rel, hkl
19.76, 100.0, 1 0 4
28.27, 33.5, 1 1 0
34.73, 24.6, 0 2 4
50.05, 23.3, 3 0 0
33.10, 22.8, 2 -1 6
45.37, 22.0, 3 -1 4
44.86, 21.0, 1 1 12
27.89, 20.8, 0 1 8
29.55, 19.2, 1 1 3
25.40, 14.2, 0 0 9

---

(3)
# Cs8Na6Cl
Theoretical powder X-ray diffraction pattern, Cu Kα X-rays. Input: a crystal structure in Alexandria, relaxed with PBE.
Neutral-atom scattering factors, no anomalous dispersion.

Lattice parameters (Å, degrees): 12.5322 12.5322 7.6085 90.00 90.00 120.00
Space group P-3 (No. 147)
Inequivalent atoms, fractional coordinates:
Cs 0.0264 0.7747 0.2630
Cs 0.3333 0.6667 0.2571
Na 0.1101 0.6129 0.7589
Cl 0.0000 0.0000 0.5000

Peak list (10 most intense, 2θ = 10–90°, by intensity)
2theta, I_rel, hkl
24.65, 100.0, 3 -1 1
18.34, 33.4, 2 -1 1
38.00, 26.2, 4 1 0
23.38, 23.7, 0 0 2
32.09, 22.2, 3 -1 2
41.88, 21.9, 1 2 3
21.66, 21.6, 1 2 0
45.08, 21.0, 4 1 2
14.21, 16.0, 1 0 1
45.82, 12.2, 2 4 1

---

(4)
# Cs2Na5Cl3O2
Theoretical powder X-ray diffraction pattern, Cu Kα X-rays. Input: a crystal structure in Alexandria, relaxed with PBE.
Neutral-atom scattering factors, no anomalous dispersion.

Lattice parameters (Å, degrees): 4.697 4.697 26.842 90.00 90.00 90.00
Space group I4/mmm (No. 139)
Inequivalent atoms, fractional coordinates:
Cs 0.000 0.000 0.188
Na 0.000 0.000 0.000
Na 0.000 0.500 0.083
Cl 0.000 0.000 0.338
Cl 0.000 0.000 0.500
O 0.000 0.000 0.084

Peak list (10 most intense, 2θ = 10–90°, by intensity)
2theta, I_rel, hkl
33.61, 100.0, 1 1 6
26.84, 70.8, 1 1 0
21.37, 70.0, 1 0 3
38.33, 66.3, 2 0 0
25.19, 43.2, 1 0 5
27.67, 42.4, 1 1 2
30.08, 38.7, 1 0 7
26.57, 27.3, 0 0 8
55.32, 25.7, 2 2 0
66.31, 25.5, 3 1 6

---

(5)
# CsNa2PbCl8
Theoretical powder X-ray diffraction pattern, Cu Kα X-rays. Input: a crystal structure in Alexandria, relaxed with PBE.
Neutral-atom scattering factors, no anomalous dispersion.

Lattice parameters (Å, degrees): 5.784 6.757 9.705 90.10 90.29 91.92
Space group P-1 (No. 2)
Inequivalent atoms, fractional coordinates:
Cs 0.000 0.000 0.000
Na 0.499 0.500 0.724
Pb 0.000 0.000 0.500
Cl 0.236 0.845 0.306
Cl 0.240 0.848 0.695
Cl 0.252 0.323 0.499
Cl 0.258 0.495 0.000

Peak list (10 most intense, 2θ = 10–90°, by intensity)
2theta, I_rel, hkl
27.14, 100.0, 1 -1 2
20.56, 98.5, 1 1 0
13.11, 88.1, 0 1 0
15.33, 79.2, 1 0 0
18.28, 65.9, 0 0 2
19.88, 60.3, 1 -1 0
24.01, 45.7, 1 0 2
23.88, 45.6, 1 0 -2
35.53, 43.9, -1 2 2
32.30, 40.2, 0 2 -2

---

(6)
# Cs3Na2PbCl6
Theoretical powder X-ray diffraction pattern, Cu Kα X-rays. Input: a crystal structure in Alexandria, relaxed with PBE.
Neutral-atom scattering factors, no anomalous dispersion.

Lattice parameters (Å, degrees): 8.0021 8.0021 9.1092 90.00 90.00 120.00
Space group P-3m1 (No. 164)
Inequivalent atoms, fractional coordinates:
Cs 0.0000 0.0000 0.0000
Cs 0.3333 0.6667 0.6168
Na 0.3333 0.6667 0.1613
Pb 0.0000 0.0000 0.5000
Cl 0.1662 0.3325 0.3066

Peak list (10 most intense, 2θ = 10–90°, by intensity)
2theta, I_rel, hkl
22.22, 100.0, 1 1 0
23.37, 76.7, 0 1 2
32.47, 76.3, 2 0 2
12.77, 50.4, 1 0 0
29.72, 46.9, 1 1 2
39.70, 39.5, 1 2 2
45.33, 33.6, 2 2 0
27.54, 33.0, 0 2 1
41.75, 28.4, 0 1 4
53.31, 27.7, 1 2 4